# TmPtF
Simulated PXRD pattern, Cu Ka. Input: a cell relaxed with PBE.
Kinematic intensities with the Lorentz-polarization factor, no thermal factor.

Top 12 peaks for 10 to 90 degrees two-theta, in order of rising 2θ:
- 6.659 Å, I = 100, (0 0 1)
- 4.495 Å, I = 21, (0 1 -1)
- 3.310 Å, I = 14, (0 1 -2)
- 3.143 Å, I = 15, (0 1 1)
- 2.837 Å, I = 70, (-1 1 1)
- 2.556 Å, I = 26, (1 -1 2)
- 2.369 Å, I = 77, (0 1 -3)
- 2.210 Å, I = 47, (-1 1 2)
- 2.198 Å, I = 50, (1 1 -2)
- 2.176 Å, I = 33, (0 2 0)
- 1.819 Å, I = 20, (2 -1 0)
- 1.664 Å, I = 16, (0 0 4)

Structure:
a b c (Å): 3.6384 5.0308 7.1826
angles (deg): 110.45 90.01 111.10
Fractional positions:
Tm  0.1235  0.2466  0.2556
Tm  0.8765  0.7534  0.7444
Pt  0.3629  0.7285  0.0350
Pt  0.6371  0.2715  0.9650
F  0.3507  0.7021  0.5347
F  0.6493  0.2979  0.4653